The following is a calculated powder X-ray diffraction pattern of Ti3PO7. It was derived from a cell relaxed with PBE, using copper Kα.

Structural model:
Unit cell a=5.2593 b=5.2593 c=5.2593 alpha=101.11 beta=101.11 gamma=101.11
Sites, in units of the cell vectors:
Ti (0.2109, 0.2109, 0.5781)
Ti (0.2109, 0.5781, 0.2109)
Ti (0.5781, 0.2109, 0.2109)
P (0.7507, 0.7507, 0.7507)
O (0.3491, 0.3491, 0.9621)
O (0.3491, 0.9621, 0.3491)
O (0.5246, 0.5246, 0.5246)
O (0.6017, 0.9156, 0.9156)
O (0.9156, 0.6017, 0.9156)
O (0.9156, 0.9156, 0.6017)
O (0.9621, 0.3491, 0.3491)

Top 10 peaks for 2θ from 10° to 80°, in order of falling intensity:
two_theta	Rel. int.
28.28	100
28.02	42
54.97	33
42.39	26
17.70	19
48.36	15
63.23	14
36.05	14
69.42	13
44.62	10